No. 1
# BeZnFe2
Calculated powder diffractogram, Cu Kα (weighted mean of Kα1 and Kα2). Input: a structure optimized by DFT (GGA-PBE).

Atomic structure:
```
data_BeZnFe2
_chemical_formula_sum 'Be4 Zn4 Fe8'
_cell_length_a 5.5717
_cell_length_b 5.5717
_cell_length_c 5.5717
_cell_angle_alpha 90.00
_cell_angle_beta 90.00
_cell_angle_gamma 90.00
_symmetry_space_group_name_H-M 'P m -3 m'
_symmetry_Int_Tables_number 221
_symmetry_space_group_name_Hall '-P 4 2 3'
loop_
_atom_site_label
_atom_site_fract_x
_atom_site_fract_y
_atom_site_fract_z
_atom_site_occupancy
Be1 0.0000 0.0000 0.0000 1
Be2 0.0000 0.0000 0.5000 1
Zn1 0.0000 0.5000 0.5000 1
Zn2 0.5000 0.5000 0.5000 1
Fe1 0.2289 0.2289 0.2289 1
```

Most intense lines, 2θ = 5–70°, in order of falling intensity:
- 2θ = 46.08°, intensity 100, (2 2 0)
- 2θ = 36.04°, intensity 27, (2 1 0)
- 2θ = 67.21°, intensity 14, (4 0 0)
- 2θ = 69.57°, intensity 9, (3 2 2)
- 2θ = 49.05°, intensity 9, (3 0 0)
- 2θ = 27.73°, intensity 8, (1 1 1)
- 2θ = 15.91°, intensity 5, (1 0 0)
- 2θ = 32.13°, intensity 5, (2 0 0)
- 2θ = 54.63°, intensity 3, (3 1 1)
- 2θ = 57.28°, intensity 1, (2 2 2)

No. 2
# GdBeGa
Calculated powder diffractogram, Cu Kα (weighted mean of Kα1 and Kα2). Input: a structure optimized by DFT (GGA-PBE).

Atomic structure:
```
data_GdBeGa
_chemical_formula_sum 'Gd4 Be4 Ga4'
_cell_length_a 6.1519
_cell_length_b 6.1519
_cell_length_c 6.1519
_cell_angle_alpha 90.00
_cell_angle_beta 90.00
_cell_angle_gamma 90.00
_symmetry_space_group_name_H-M 'F -4 3 m'
_symmetry_Int_Tables_number 216
_symmetry_space_group_name_Hall 'F -4 2 3'
loop_
_atom_site_label
_atom_site_fract_x
_atom_site_fract_y
_atom_site_fract_z
_atom_site_occupancy
Gd1 0.0000 0.0000 0.0000 1
Be1 0.2500 0.2500 0.7500 1
Ga1 0.0000 0.0000 0.5000 1
```

Most intense lines, 2θ = 5–70°, in order of falling intensity:
- 2θ = 29.03°, intensity 100, (2 0 0)
- 2θ = 41.52°, intensity 85, (2 2 0)
- 2θ = 68.17°, intensity 35, (4 2 0)
- 2θ = 51.46°, intensity 27, (2 2 2)
- 2θ = 25.07°, intensity 26, (1 1 1)
- 2θ = 60.17°, intensity 14, (4 0 0)
- 2θ = 49.12°, intensity 13, (3 1 1)
- 2θ = 66.22°, intensity 5, (3 3 1)

No. 3
# Lu2BeGa
Calculated powder diffractogram, Cu Kα (weighted mean of Kα1 and Kα2). Input: a structure optimized by DFT (GGA-PBE).

Atomic structure:
```
data_Lu2BeGa
_chemical_formula_sum 'Lu8 Be4 Ga4'
_cell_length_a 6.9045
_cell_length_b 6.9045
_cell_length_c 6.9045
_cell_angle_alpha 90.00
_cell_angle_beta 90.00
_cell_angle_gamma 90.00
_symmetry_space_group_name_H-M 'F -4 3 m'
_symmetry_Int_Tables_number 216
_symmetry_space_group_name_Hall 'F -4 2 3'
loop_
_atom_site_label
_atom_site_fract_x
_atom_site_fract_y
_atom_site_fract_z
_atom_site_occupancy
Lu1 0.0000 0.0000 0.0000 1
Lu2 0.2500 0.2500 0.2500 1
Be1 0.2500 0.2500 0.7500 1
Ga1 0.0000 0.0000 0.5000 1
```

Most intense lines, 2θ = 5–70°, in order of falling intensity:
- 2θ = 36.82°, intensity 100, (2 2 0)
- 2θ = 22.30°, intensity 49, (1 1 1)
- 2θ = 66.32°, intensity 36, (4 2 2)
- 2θ = 43.47°, intensity 26, (3 1 1)
- 2θ = 53.05°, intensity 18, (4 0 0)
- 2θ = 58.25°, intensity 11, (3 3 1)
- 2θ = 25.81°, intensity 3, (2 0 0)
- 2θ = 59.91°, intensity 1, (4 2 0)
- 2θ = 45.51°, intensity 1, (2 2 2)

No. 4
# BeGaPt2
Calculated powder diffractogram, Cu Kα (weighted mean of Kα1 and Kα2). Input: a structure optimized by DFT (GGA-PBE).

Atomic structure:
```
data_BeGaPt2
_chemical_formula_sum 'Be4 Ga4 Pt8'
_cell_length_a 6.1113
_cell_length_b 6.1113
_cell_length_c 6.1113
_cell_angle_alpha 90.00
_cell_angle_beta 90.00
_cell_angle_gamma 90.00
_symmetry_space_group_name_H-M 'F -4 3 m'
_symmetry_Int_Tables_number 216
_symmetry_space_group_name_Hall 'F -4 2 3'
loop_
_atom_site_label
_atom_site_fract_x
_atom_site_fract_y
_atom_site_fract_z
_atom_site_occupancy
Be1 0.0000 0.0000 0.0000 1
Ga1 0.2500 0.2500 0.7500 1
Pt1 0.0000 0.0000 0.5000 1
Pt2 0.2500 0.2500 0.2500 1
```

Most intense lines, 2θ = 5–70°, in order of falling intensity:
- 2θ = 41.81°, intensity 100, (2 2 0)
- 2θ = 25.24°, intensity 56, (1 1 1)
- 2θ = 49.46°, intensity 28, (3 1 1)
- 2θ = 60.61°, intensity 17, (4 0 0)
- 2θ = 66.71°, intensity 12, (3 3 1)
- 2θ = 29.23°, intensity 3, (2 0 0)
- 2θ = 68.69°, intensity 1, (4 2 0)
- 2θ = 51.82°, intensity 1, (2 2 2)

No. 5
# ThBeGa
Calculated powder diffractogram, Cu Kα (weighted mean of Kα1 and Kα2). Input: a structure optimized by DFT (GGA-PBE).

Atomic structure:
```
data_ThBeGa
_chemical_formula_sum 'Th4 Be4 Ga4'
_cell_length_a 6.3104
_cell_length_b 6.3104
_cell_length_c 6.3104
_cell_angle_alpha 90.00
_cell_angle_beta 90.00
_cell_angle_gamma 90.00
_symmetry_space_group_name_H-M 'F -4 3 m'
_symmetry_Int_Tables_number 216
_symmetry_space_group_name_Hall 'F -4 2 3'
loop_
_atom_site_label
_atom_site_fract_x
_atom_site_fract_y
_atom_site_fract_z
_atom_site_occupancy
Th1 0.0000 0.0000 0.0000 1
Be1 0.2500 0.2500 0.7500 1
Ga1 0.0000 0.0000 0.5000 1
```

Most intense lines, 2θ = 5–70°, in order of falling intensity:
- 2θ = 28.28°, intensity 100, (2 0 0)
- 2θ = 40.43°, intensity 85, (2 2 0)
- 2θ = 24.43°, intensity 50, (1 1 1)
- 2θ = 66.23°, intensity 37, (4 2 0)
- 2θ = 50.07°, intensity 28, (2 2 2)
- 2θ = 47.80°, intensity 27, (3 1 1)
- 2θ = 58.51°, intensity 14, (4 0 0)
- 2θ = 64.35°, intensity 11, (3 3 1)

No. 6
# GdBe13
Calculated powder diffractogram, Cu Kα (weighted mean of Kα1 and Kα2). Input: a structure optimized by DFT (GGA-PBE).

Atomic structure:
```
data_GdBe13
_chemical_formula_sum 'Gd8 Be104'
_cell_length_a 10.2116
_cell_length_b 10.2116
_cell_length_c 10.2116
_cell_angle_alpha 90.00
_cell_angle_beta 90.00
_cell_angle_gamma 90.00
_symmetry_space_group_name_H-M 'F m -3 c'
_symmetry_Int_Tables_number 226
_symmetry_space_group_name_Hall '-F 4a 2 3'
loop_
_atom_site_label
_atom_site_fract_x
_atom_site_fract_y
_atom_site_fract_z
_atom_site_occupancy
Gd1 0.2500 0.2500 0.2500 1
Be1 0.0000 0.0000 0.0000 1
Be2 0.0000 0.1137 0.1763 1
```

Most intense lines, 2θ = 5–70°, in order of falling intensity:
- 2θ = 24.66°, intensity 100, (2 2 0)
- 2θ = 17.37°, intensity 90, (2 0 0)
- 2θ = 39.46°, intensity 72, (4 2 0)
- 2θ = 43.41°, intensity 61, (4 2 2)
- 2θ = 30.32°, intensity 44, (2 2 2)
- 2θ = 68.80°, intensity 28, (6 4 2)
- 2θ = 57.04°, intensity 25, (6 2 0)
- 2θ = 53.87°, intensity 23, (4 4 2)
- 2θ = 35.15°, intensity 22, (4 0 0)
- 2θ = 65.97°, intensity 17, (6 4 0)

No. 7
# GdBe4
Calculated powder diffractogram, Cu Kα (weighted mean of Kα1 and Kα2). Input: a structure optimized by DFT (GGA-PBE).

Atomic structure:
```
data_GdBe4
_chemical_formula_sum 'Gd2 Be8'
_cell_length_a 3.1297
_cell_length_b 3.1297
_cell_length_c 13.4498
_cell_angle_alpha 90.00
_cell_angle_beta 90.00
_cell_angle_gamma 90.00
_symmetry_space_group_name_H-M 'P 4/n m m'
_symmetry_Int_Tables_number 129
loop_
_symmetry_equiv_pos_as_xyz
'x,y,z'
'-x,-y,-z'
'-y+1/2,x,z'
'y+1/2,-x,-z'
'-x+1/2,-y+1/2,z'
'x+1/2,y+1/2,-z'
'y,-x+1/2,z'
'-y,x+1/2,-z'
'x+1/2,-y,-z'
'-x+1/2,y,z'
'-y,-x,-z'
'y,x,z'
'-x,y+1/2,-z'
'x,-y+1/2,z'
'y+1/2,x+1/2,-z'
'-y+1/2,-x+1/2,z'
loop_
_atom_site_label
_atom_site_fract_x
_atom_site_fract_y
_atom_site_fract_z
_atom_site_occupancy
Gd1 0.2500 0.2500 0.1931 1
Be1 0.2500 0.2500 0.4976 1
Be2 0.2500 0.7500 0.0000 1
Be3 0.2500 0.7500 0.3849 1
```

Most intense lines, 2θ = 5–70°, in order of falling intensity:
- 2θ = 29.30°, intensity 100, (1 0 1)
- 2θ = 13.17°, intensity 74, (0 0 2)
- 2θ = 6.57°, intensity 54, (0 0 1)
- 2θ = 39.33°, intensity 51, (1 0 4)
- 2θ = 19.80°, intensity 50, (0 0 3)
- 2θ = 31.53°, intensity 40, (1 0 2)
- 2θ = 45.72°, intensity 33, (1 1 3)
- 2θ = 43.03°, intensity 23, (1 1 2)
- 2θ = 33.31°, intensity 22, (0 0 5)
- 2θ = 40.77°, intensity 20, (1 1 0)

No. 8
# GdYBe2SiGe
Calculated powder diffractogram, Cu Kα (weighted mean of Kα1 and Kα2). Input: a structure optimized by DFT (GGA-PBE).

Atomic structure:
```
data_GdYBe2SiGe
_chemical_formula_sum 'Gd1 Y1 Be2 Si1 Ge1'
_cell_length_a 3.9074
_cell_length_b 3.9074
_cell_length_c 8.1276
_cell_angle_alpha 90.00
_cell_angle_beta 90.00
_cell_angle_gamma 120.00
_symmetry_space_group_name_H-M 'P 3 m 1'
_symmetry_Int_Tables_number 156
loop_
_symmetry_equiv_pos_as_xyz
'x,y,z'
'-y,x-y,z'
'-x+y,-x,z'
'-y,-x,z'
'-x+y,y,z'
'x,x-y,z'
loop_
_atom_site_label
_atom_site_fract_x
_atom_site_fract_y
_atom_site_fract_z
_atom_site_occupancy
Gd1 0.0000 0.0000 0.0000 1
Y1 0.0000 0.0000 0.5050 1
Be1 0.3333 0.6667 0.7514 1
Be2 0.6667 0.3333 0.2536 1
Si1 0.6667 0.3333 0.7512 1
Ge1 0.3333 0.6667 0.2538 1
```

Most intense lines, 2θ = 5–70°, in order of falling intensity:
- 2θ = 34.49°, intensity 100, (1 0 2)
- 2θ = 26.34°, intensity 39, (1 0 0)
- 2θ = 46.48°, intensity 30, (1 1 0)
- 2θ = 59.15°, intensity 21, (0 2 2)
- 2θ = 66.38°, intensity 20, (1 1 4)
- 2θ = 28.57°, intensity 19, (0 1 1)
- 2θ = 10.89°, intensity 14, (0 0 1)
- 2θ = 52.53°, intensity 12, (0 1 4)
- 2θ = 44.59°, intensity 11, (0 0 4)
- 2θ = 21.87°, intensity 9, (0 0 2)

No. 9
# NdGdBe2Si2
Calculated powder diffractogram, Cu Kα (weighted mean of Kα1 and Kα2). Input: a structure optimized by DFT (GGA-PBE).

Atomic structure:
```
data_NdGdBe2Si2
_chemical_formula_sum 'Nd1 Gd1 Be2 Si2'
_cell_length_a 3.9219
_cell_length_b 3.9219
_cell_length_c 8.3293
_cell_angle_alpha 90.00
_cell_angle_beta 90.00
_cell_angle_gamma 120.00
_symmetry_space_group_name_H-M 'P -3 m 1'
_symmetry_Int_Tables_number 164
_symmetry_space_group_name_Hall '-P 3 2"'
loop_
_atom_site_label
_atom_site_fract_x
_atom_site_fract_y
_atom_site_fract_z
_atom_site_occupancy
Nd1 0.0000 0.0000 0.0000 1
Gd1 0.0000 0.0000 0.5000 1
Be1 0.3333 0.6667 0.7444 1
Si1 0.3333 0.6667 0.2571 1
```

Most intense lines, 2θ = 5–70°, in order of falling intensity:
- 2θ = 34.06°, intensity 100, (1 0 2)
- 2θ = 26.24°, intensity 61, (1 0 0)
- 2θ = 51.49°, intensity 35, (0 1 4)
- 2θ = 46.30°, intensity 26, (1 1 0)
- 2θ = 21.34°, intensity 24, (0 0 2)
- 2θ = 58.71°, intensity 21, (0 2 2)
- 2θ = 65.37°, intensity 18, (1 1 4)
- 2θ = 43.46°, intensity 10, (0 0 4)
- 2θ = 54.00°, intensity 9, (2 0 0)
- 2θ = 28.38°, intensity 2, (1 0 1)

No. 10
# GdYBe2Si2
Calculated powder diffractogram, Cu Kα (weighted mean of Kα1 and Kα2). Input: a structure optimized by DFT (GGA-PBE).

Atomic structure:
```
data_GdYBe2Si2
_chemical_formula_sum 'Gd1 Y1 Be2 Si2'
_cell_length_a 3.8839
_cell_length_b 3.8839
_cell_length_c 8.1099
_cell_angle_alpha 90.00
_cell_angle_beta 90.00
_cell_angle_gamma 120.00
_symmetry_space_group_name_H-M 'P -3 m 1'
_symmetry_Int_Tables_number 164
_symmetry_space_group_name_Hall '-P 3 2"'
loop_
_atom_site_label
_atom_site_fract_x
_atom_site_fract_y
_atom_site_fract_z
_atom_site_occupancy
Gd1 0.0000 0.0000 0.0000 1
Y1 0.0000 0.0000 0.5000 1
Be1 0.3333 0.6667 0.7487 1
Si1 0.3333 0.6667 0.2514 1
```

Most intense lines, 2θ = 5–70°, in order of falling intensity:
- 2θ = 34.65°, intensity 100, (1 0 2)
- 2θ = 26.50°, intensity 56, (1 0 0)
- 2θ = 46.78°, intensity 27, (1 1 0)
- 2θ = 59.51°, intensity 21, (0 2 2)
- 2θ = 21.92°, intensity 20, (0 0 2)
- 2θ = 66.69°, intensity 18, (1 1 4)
- 2θ = 52.72°, intensity 17, (0 1 4)
- 2θ = 52.23°, intensity 12, (1 1 2)
- 2θ = 10.91°, intensity 12, (0 0 1)
- 2θ = 28.73°, intensity 12, (0 1 1)

No. 11
# Gd3YBe
Calculated powder diffractogram, Cu Kα (weighted mean of Kα1 and Kα2). Input: a structure optimized by DFT (GGA-PBE).

Atomic structure:
```
data_Gd3YBe
_chemical_formula_sum 'Gd6 Y2 Be2'
_cell_length_a 6.7341
_cell_length_b 6.7341
_cell_length_c 7.4484
_cell_angle_alpha 90.00
_cell_angle_beta 90.00
_cell_angle_gamma 120.00
_symmetry_space_group_name_H-M 'P -6 c 2'
_symmetry_Int_Tables_number 188
_symmetry_space_group_name_Hall 'P -6c 2'
loop_
_atom_site_label
_atom_site_fract_x
_atom_site_fract_y
_atom_site_fract_z
_atom_site_occupancy
Gd1 0.0012 0.4432 0.2500 1
Y1 0.0000 0.0000 0.0000 1
Be1 0.6667 0.3333 0.0000 1
```

Most intense lines, 2θ = 5–70°, in order of falling intensity:
- 2θ = 30.66°, intensity 100, (2 0 0)
- 2θ = 28.44°, intensity 54, (1 0 2)
- 2θ = 29.11°, intensity 45, (1 1 1)
- 2θ = 35.96°, intensity 42, (1 1 2)
- 2θ = 39.24°, intensity 41, (2 0 2)
- 2θ = 23.89°, intensity 37, (0 0 2)
- 2θ = 58.38°, intensity 34, (3 1 1)
- 2θ = 58.84°, intensity 31, (2 0 4)
- 2θ = 42.78°, intensity 24, (2 1 1)
- 2θ = 69.34°, intensity 20, (3 1 3)

No. 12
# HfBeGe
Calculated powder diffractogram, Cu Kα (weighted mean of Kα1 and Kα2). Input: a structure optimized by DFT (GGA-PBE).

Atomic structure:
```
data_HfBeGe
_chemical_formula_sum 'Hf1 Be1 Ge1'
_cell_length_a 3.7673
_cell_length_b 3.7673
_cell_length_c 3.6163
_cell_angle_alpha 90.00
_cell_angle_beta 90.00
_cell_angle_gamma 120.00
_symmetry_space_group_name_H-M 'P -6 m 2'
_symmetry_Int_Tables_number 187
_symmetry_space_group_name_Hall 'P -6 2'
loop_
_atom_site_label
_atom_site_fract_x
_atom_site_fract_y
_atom_site_fract_z
_atom_site_occupancy
Hf1 0.0000 0.0000 0.0000 1
Be1 0.6667 0.3333 0.5000 1
Ge1 0.3333 0.6667 0.5000 1
```

Most intense lines, 2θ = 5–70°, in order of falling intensity:
- 2θ = 37.11°, intensity 100, (1 0 1)
- 2θ = 27.34°, intensity 48, (1 0 0)
- 2θ = 48.32°, intensity 31, (1 1 0)
- 2θ = 62.46°, intensity 22, (2 0 1)
- 2θ = 58.35°, intensity 12, (1 0 2)
- 2θ = 50.47°, intensity 9, (0 0 2)
- 2θ = 24.62°, intensity 8, (0 0 1)
- 2θ = 56.40°, intensity 7, (2 0 0)
- 2θ = 54.96°, intensity 6, (1 1 1)

No. 13
# LaHfBe2Ge2
Calculated powder diffractogram, Cu Kα (weighted mean of Kα1 and Kα2). Input: a structure optimized by DFT (GGA-PBE).

Atomic structure:
```
data_LaHfBe2Ge2
_chemical_formula_sum 'La1 Hf1 Be2 Ge2'
_cell_length_a 3.8671
_cell_length_b 3.8671
_cell_length_c 8.1415
_cell_angle_alpha 90.00
_cell_angle_beta 90.00
_cell_angle_gamma 120.00
_symmetry_space_group_name_H-M 'P -3 m 1'
_symmetry_Int_Tables_number 164
_symmetry_space_group_name_Hall '-P 3 2"'
loop_
_atom_site_label
_atom_site_fract_x
_atom_site_fract_y
_atom_site_fract_z
_atom_site_occupancy
La1 0.0000 0.0000 0.0000 1
Hf1 0.0000 0.0000 0.5000 1
Be1 0.3333 0.6667 0.2890 1
Ge1 0.3333 0.6667 0.7245 1
```

Most intense lines, 2θ = 5–70°, in order of falling intensity:
- 2θ = 34.68°, intensity 100, (0 1 2)
- 2θ = 26.62°, intensity 34, (1 0 0)
- 2θ = 46.99°, intensity 31, (1 1 0)
- 2θ = 59.71°, intensity 21, (2 0 2)
- 2θ = 66.72°, intensity 19, (1 1 4)
- 2θ = 28.83°, intensity 16, (0 1 1)
- 2θ = 52.62°, intensity 13, (1 0 4)
- 2θ = 44.51°, intensity 11, (0 0 4)
- 2θ = 21.83°, intensity 8, (0 0 2)
- 2θ = 10.87°, intensity 7, (0 0 1)

No. 14
# MgBeZnGe
Calculated powder diffractogram, Cu Kα (weighted mean of Kα1 and Kα2). Input: a structure optimized by DFT (GGA-PBE).

Atomic structure:
```
data_MgBeZnGe
_chemical_formula_sum 'Mg4 Be4 Zn4 Ge4'
_cell_length_a 6.3655
_cell_length_b 6.3655
_cell_length_c 6.3655
_cell_angle_alpha 90.00
_cell_angle_beta 90.00
_cell_angle_gamma 90.00
_symmetry_space_group_name_H-M 'F -4 3 m'
_symmetry_Int_Tables_number 216
_symmetry_space_group_name_Hall 'F -4 2 3'
loop_
_atom_site_label
_atom_site_fract_x
_atom_site_fract_y
_atom_site_fract_z
_atom_site_occupancy
Mg1 0.0000 0.0000 0.0000 1
Be1 0.2500 0.2500 0.7500 1
Zn1 0.2500 0.2500 0.2500 1
Ge1 0.0000 0.0000 0.5000 1
```

Most intense lines, 2θ = 5–70°, in order of falling intensity:
- 2θ = 40.06°, intensity 100, (2 2 0)
- 2θ = 24.22°, intensity 52, (1 1 1)
- 2θ = 47.37°, intensity 26, (3 1 1)
- 2θ = 57.95°, intensity 16, (4 0 0)
- 2θ = 63.73°, intensity 10, (3 3 1)
- 2θ = 28.04°, intensity 2, (2 0 0)
- 2θ = 65.59°, intensity 1, (4 2 0)
- 2θ = 49.61°, intensity 1, (2 2 2)